Record 1
# YLuGa6
Computed powder XRD pattern, Cu Kα, 1.54184 Å. Input: DFT lattice parameters and positions (PBE).
Intensities are scaled so that the largest is 100.

The 12 most intense peaks (2θ = 10–90°), low angle first:
3.535 Å, 25.2 deg, rel. 18; 2.639 Å, 34.0 deg, rel. 14; 2.543 Å, 35.3 deg, rel. 31; 2.380 Å, 37.8 deg, rel. 30; 2.308 Å, 39.0 deg, rel. 100; 2.029 Å, 44.7 deg, rel. 16; 1.767 Å, 51.7 deg, rel. 9; 1.544 Å, 59.9 deg, rel. 6; 1.523 Å, 60.8 deg, rel. 21; 1.360 Å, 69.1 deg, rel. 18; 1.283 Å, 73.9 deg, rel. 23; 1.271 Å, 74.7 deg, rel. 14

Cell and atoms:
Unit cell a=6.0935 b=6.0935 c=9.5215 alpha=90.00 beta=90.00 gamma=120.00
Positions (direct):
Y: 0.3333 0.6667 0.2500
Y: 0.6667 0.3333 0.7500
Lu: 0.0000 0.0000 0.0000
Lu: 0.0000 0.0000 0.5000
Ga: 0.0000 0.5000 0.0000
Ga: 0.0000 0.5000 0.5000
Ga: 0.1816 0.3633 0.7500
Ga: 0.1816 0.8184 0.7500
Ga: 0.3633 0.1816 0.2500
Ga: 0.5000 0.0000 0.0000
Ga: 0.5000 0.0000 0.5000
Ga: 0.5000 0.5000 0.0000
Ga: 0.5000 0.5000 0.5000
Ga: 0.6367 0.8184 0.7500
Ga: 0.8184 0.1816 0.2500
Ga: 0.8184 0.6367 0.2500

---

Record 2
# LuZrZnGa
Computed powder XRD pattern, Cu Kα, 1.54184 Å. Input: DFT lattice parameters and positions (PBE).
Intensities are scaled so that the largest is 100.

The 12 most intense peaks (2θ = 10–90°), low angle first:
3.936 Å, 22.6 deg, rel. 9; 3.408 Å, 26.1 deg, rel. 11; 2.410 Å, 37.3 deg, rel. 100; 2.055 Å, 44.1 deg, rel. 5; 1.968 Å, 46.1 deg, rel. 3; 1.704 Å, 53.8 deg, rel. 17; 1.564 Å, 59.1 deg, rel. 2; 1.524 Å, 60.8 deg, rel. 4; 1.391 Å, 67.3 deg, rel. 34; 1.205 Å, 79.5 deg, rel. 11; 1.152 Å, 84.0 deg, rel. 2; 1.136 Å, 85.5 deg, rel. 2

Cell and atoms:
Unit cell a=6.8167 b=6.8167 c=6.8167 alpha=90.00 beta=90.00 gamma=90.00
Positions (direct):
Lu: 0.0000 0.0000 0.0000
Lu: 0.0000 0.5000 0.5000
Lu: 0.5000 0.0000 0.5000
Lu: 0.5000 0.5000 0.0000
Zr: 0.0000 0.0000 0.5000
Zr: 0.0000 0.5000 0.0000
Zr: 0.5000 0.0000 0.0000
Zr: 0.5000 0.5000 0.5000
Zn: 0.2500 0.2500 0.7500
Zn: 0.2500 0.7500 0.2500
Zn: 0.7500 0.2500 0.2500
Zn: 0.7500 0.7500 0.7500
Ga: 0.2500 0.2500 0.2500
Ga: 0.2500 0.7500 0.7500
Ga: 0.7500 0.2500 0.7500
Ga: 0.7500 0.7500 0.2500

---

Record 3
# Mg2Ga
Computed powder XRD pattern, Cu Kα, 1.54184 Å. Input: DFT lattice parameters and positions (PBE).
Intensities are scaled so that the largest is 100.

The 12 most intense peaks (2θ = 10–90°), low angle first:
4.474 Å, 19.8 deg, rel. 72; 3.934 Å, 22.6 deg, rel. 17; 3.912 Å, 22.7 deg, rel. 29; 2.638 Å, 34.0 deg, rel. 48; 2.498 Å, 35.9 deg, rel. 21; 2.486 Å, 36.1 deg, rel. 67; 2.391 Å, 37.6 deg, rel. 100; 2.353 Å, 38.3 deg, rel. 80; 2.308 Å, 39.0 deg, rel. 74; 1.557 Å, 59.4 deg, rel. 28; 1.416 Å, 66.0 deg, rel. 18; 1.328 Å, 71.0 deg, rel. 16

Cell and atoms:
Unit cell a=9.0455 b=5.4540 c=5.7473 alpha=90.00 beta=120.12 gamma=90.00
Positions (direct):
Mg: 0.1697 0.1037 0.2378
Mg: 0.1697 0.8963 0.7378
Mg: 0.3303 0.3963 0.7622
Mg: 0.3303 0.6037 0.2622
Mg: 0.6697 0.3963 0.7378
Mg: 0.6697 0.6037 0.2378
Mg: 0.8303 0.1037 0.2622
Mg: 0.8303 0.8963 0.7622
Ga: 0.0000 0.4149 0.7500
Ga: 0.0000 0.5851 0.2500
Ga: 0.5000 0.0851 0.2500
Ga: 0.5000 0.9149 0.7500

---

Record 4
# MgGa
Computed powder XRD pattern, Cu Kα, 1.54184 Å. Input: DFT lattice parameters and positions (PBE).
Intensities are scaled so that the largest is 100.

The 12 most intense peaks (2θ = 10–90°), low angle first:
5.318 Å, 16.7 deg, rel. 15; 3.612 Å, 24.6 deg, rel. 88; 2.659 Å, 33.7 deg, rel. 21; 2.604 Å, 34.4 deg, rel. 39; 2.378 Å, 37.8 deg, rel. 70; 2.339 Å, 38.5 deg, rel. 19; 2.141 Å, 42.2 deg, rel. 100; 1.986 Å, 45.7 deg, rel. 54; 1.525 Å, 60.8 deg, rel. 24; 1.396 Å, 67.0 deg, rel. 19; 1.322 Å, 71.3 deg, rel. 25; 1.284 Å, 73.8 deg, rel. 20

Cell and atoms:
Unit cell a=8.0170 b=8.0170 c=8.0170 alpha=96.88 beta=96.88 gamma=139.50
Positions (direct):
Mg: 0.0344 0.7259 0.0448
Mg: 0.1811 0.9897 0.4552
Mg: 0.2259 0.6811 0.6914
Mg: 0.4897 0.5344 0.8086
Mg: 0.5103 0.4656 0.1914
Mg: 0.7741 0.3189 0.3086
Mg: 0.8189 0.0103 0.5448
Mg: 0.9656 0.2741 0.9552
Ga: 0.0666 0.0109 0.8394
Ga: 0.2728 0.4334 0.4444
Ga: 0.3284 0.7728 0.3394
Ga: 0.4891 0.8284 0.0556
Ga: 0.5109 0.1716 0.9444
Ga: 0.6716 0.2272 0.6606
Ga: 0.7272 0.5666 0.5556
Ga: 0.9334 0.9891 0.1606

---

Record 5
# Mg5Ga2
Computed powder XRD pattern, Cu Kα, 1.54184 Å. Input: DFT lattice parameters and positions (PBE).
Intensities are scaled so that the largest is 100.

The 12 most intense peaks (2θ = 10–90°), low angle first:
3.800 Å, 23.4 deg, rel. 100; 3.426 Å, 26.0 deg, rel. 16; 3.007 Å, 29.7 deg, rel. 17; 2.710 Å, 33.1 deg, rel. 15; 2.451 Å, 36.7 deg, rel. 67; 2.283 Å, 39.5 deg, rel. 65; 2.260 Å, 39.9 deg, rel. 62; 2.077 Å, 43.6 deg, rel. 37; 2.043 Å, 44.3 deg, rel. 32; 1.386 Å, 67.6 deg, rel. 15; 1.370 Å, 68.5 deg, rel. 15; 1.282 Å, 74.0 deg, rel. 16

Cell and atoms:
Unit cell a=8.2650 b=8.2650 c=8.2650 alpha=129.76 beta=67.99 gamma=137.33
Positions (direct):
Mg: 0.0174 0.2500 0.7674
Mg: 0.0837 0.6540 0.7378
Mg: 0.2500 0.2500 0.0000
Mg: 0.4163 0.1540 0.5703
Mg: 0.4826 0.2500 0.2326
Mg: 0.5174 0.7500 0.7674
Mg: 0.5837 0.8460 0.4297
Mg: 0.7500 0.7500 0.0000
Mg: 0.9163 0.3460 0.2622
Mg: 0.9826 0.7500 0.2326
Ga: 0.1226 0.2643 0.3869
Ga: 0.3774 0.7643 0.1417
Ga: 0.6226 0.2357 0.8583
Ga: 0.8774 0.7357 0.6131

---

Record 6
# MgGa3
Computed powder XRD pattern, Cu Kα, 1.54184 Å. Input: DFT lattice parameters and positions (PBE).
Intensities are scaled so that the largest is 100.

The 12 most intense peaks (2θ = 10–90°), low angle first:
4.299 Å, 20.7 deg, rel. 4; 3.756 Å, 23.7 deg, rel. 12; 2.952 Å, 30.3 deg, rel. 3; 2.434 Å, 36.9 deg, rel. 100; 2.363 Å, 38.1 deg, rel. 3; 2.149 Å, 42.0 deg, rel. 17; 2.087 Å, 43.3 deg, rel. 32; 1.497 Å, 62.0 deg, rel. 21; 1.476 Å, 63.0 deg, rel. 10; 1.289 Å, 73.5 deg, rel. 12; 1.262 Å, 75.3 deg, rel. 23; 1.217 Å, 78.6 deg, rel. 10

Cell and atoms:
Unit cell a=4.1748 b=4.1748 c=8.5977 alpha=90.00 beta=90.00 gamma=90.00
Positions (direct):
Mg: 0.0000 0.0000 0.0000
Mg: 0.5000 0.5000 0.5000
Ga: 0.0000 0.0000 0.5000
Ga: 0.0000 0.5000 0.2500
Ga: 0.0000 0.5000 0.7500
Ga: 0.5000 0.0000 0.2500
Ga: 0.5000 0.0000 0.7500
Ga: 0.5000 0.5000 0.0000

---

Record 7
# MgGa2
Computed powder XRD pattern, Cu Kα, 1.54184 Å. Input: DFT lattice parameters and positions (PBE).
Intensities are scaled so that the largest is 100.

The 12 most intense peaks (2θ = 10–90°), low angle first:
7.222 Å, 12.3 deg, rel. 6; 4.814 Å, 18.4 deg, rel. 11; 2.649 Å, 33.8 deg, rel. 29; 2.487 Å, 36.1 deg, rel. 4; 2.407 Å, 37.4 deg, rel. 24; 2.321 Å, 38.8 deg, rel. 100; 1.781 Å, 51.3 deg, rel. 17; 1.529 Å, 60.6 deg, rel. 17; 1.373 Å, 68.3 deg, rel. 17; 1.291 Å, 73.3 deg, rel. 18; 1.277 Å, 74.3 deg, rel. 14; 1.160 Å, 83.3 deg, rel. 4

Cell and atoms:
Unit cell a=3.0583 b=3.0583 c=14.4434 alpha=90.00 beta=90.00 gamma=120.00
Positions (direct):
Mg: 0.0000 0.0000 0.1617
Mg: 0.0000 0.0000 0.8383
Ga: 0.0000 0.0000 0.5000
Ga: 0.6667 0.3333 0.0000
Ga: 0.6667 0.3333 0.3299
Ga: 0.6667 0.3333 0.6701

---

Record 8
# Mg7Ga2
Computed powder XRD pattern, Cu Kα, 1.54184 Å. Input: DFT lattice parameters and positions (PBE).
Intensities are scaled so that the largest is 100.

The 12 most intense peaks (2θ = 10–90°), low angle first:
7.509 Å, 11.8 deg, rel. 39; 4.716 Å, 18.8 deg, rel. 10; 3.994 Å, 22.3 deg, rel. 12; 2.560 Å, 35.1 deg, rel. 100; 2.503 Å, 35.9 deg, rel. 29; 2.204 Å, 40.9 deg, rel. 67; 1.572 Å, 58.7 deg, rel. 20; 1.545 Å, 59.8 deg, rel. 19; 1.340 Å, 70.3 deg, rel. 12; 1.331 Å, 70.8 deg, rel. 22; 1.315 Å, 71.8 deg, rel. 12; 1.280 Å, 74.1 deg, rel. 11

Cell and atoms:
Unit cell a=5.4454 b=5.4454 c=7.5086 alpha=90.00 beta=90.00 gamma=120.00
Positions (direct):
Mg: 0.0000 0.0000 0.0000
Mg: 0.0000 0.3393 0.6750
Mg: 0.0000 0.6607 0.3250
Mg: 0.3393 0.0000 0.6750
Mg: 0.3393 0.3393 0.3250
Mg: 0.6607 0.0000 0.3250
Mg: 0.6607 0.6607 0.6750
Ga: 0.3333 0.6667 0.0000
Ga: 0.6667 0.3333 0.0000

---

Record 9
# MgGa2
Computed powder XRD pattern, Cu Kα, 1.54184 Å. Input: DFT lattice parameters and positions (PBE).
Intensities are scaled so that the largest is 100.

The 12 most intense peaks (2θ = 10–90°), low angle first:
4.207 Å, 21.1 deg, rel. 30; 2.553 Å, 35.2 deg, rel. 52; 2.491 Å, 36.0 deg, rel. 69; 2.390 Å, 37.6 deg, rel. 79; 2.304 Å, 39.1 deg, rel. 100; 2.170 Å, 41.6 deg, rel. 59; 1.899 Å, 47.9 deg, rel. 21; 1.491 Å, 62.3 deg, rel. 24; 1.474 Å, 63.1 deg, rel. 17; 1.399 Å, 66.9 deg, rel. 19; 1.320 Å, 71.4 deg, rel. 15; 1.273 Å, 74.5 deg, rel. 15

Cell and atoms:
Unit cell a=8.8764 b=5.1961 c=6.1725 alpha=90.00 beta=126.17 gamma=90.00
Positions (direct):
Mg: 0.0000 0.1034 0.2500
Mg: 0.0000 0.8966 0.7500
Mg: 0.5000 0.3966 0.7500
Mg: 0.5000 0.6034 0.2500
Ga: 0.1626 0.3996 0.7521
Ga: 0.1626 0.6004 0.2521
Ga: 0.3374 0.1004 0.2479
Ga: 0.3374 0.8996 0.7479
Ga: 0.6626 0.1004 0.2521
Ga: 0.6626 0.8996 0.7521
Ga: 0.8374 0.3996 0.7479
Ga: 0.8374 0.6004 0.2479

---

Record 10
# MgGa5
Computed powder XRD pattern, Cu Kα, 1.54184 Å. Input: DFT lattice parameters and positions (PBE).
Intensities are scaled so that the largest is 100.

The 12 most intense peaks (2θ = 10–90°), low angle first:
4.344 Å, 20.4 deg, rel. 6; 2.809 Å, 31.9 deg, rel. 3; 2.633 Å, 34.0 deg, rel. 26; 2.377 Å, 37.8 deg, rel. 24; 2.304 Å, 39.1 deg, rel. 100; 1.765 Å, 51.8 deg, rel. 15; 1.520 Å, 60.9 deg, rel. 18; 1.358 Å, 69.2 deg, rel. 17; 1.317 Å, 71.7 deg, rel. 3; 1.281 Å, 74.0 deg, rel. 19; 1.269 Å, 74.8 deg, rel. 14; 1.152 Å, 84.0 deg, rel. 3

Cell and atoms:
Unit cell a=5.6437 b=5.6437 c=5.6437 alpha=55.63 beta=55.63 gamma=55.63
Positions (direct):
Mg: 0.0000 0.0000 0.0000
Ga: 0.1647 0.8353 0.5000
Ga: 0.3379 0.3379 0.3379
Ga: 0.5000 0.1647 0.8353
Ga: 0.6621 0.6621 0.6621
Ga: 0.8353 0.5000 0.1647

---

Record 11
# Mg7Ga
Computed powder XRD pattern, Cu Kα, 1.54184 Å. Input: DFT lattice parameters and positions (PBE).
Intensities are scaled so that the largest is 100.

The 12 most intense peaks (2θ = 10–90°), low angle first:
4.280 Å, 20.8 deg, rel. 13; 3.551 Å, 25.1 deg, rel. 9; 2.787 Å, 32.1 deg, rel. 4; 2.562 Å, 35.0 deg, rel. 100; 2.249 Å, 40.1 deg, rel. 17; 2.203 Å, 41.0 deg, rel. 32; 2.161 Å, 41.8 deg, rel. 4; 1.574 Å, 58.7 deg, rel. 21; 1.558 Å, 59.3 deg, rel. 10; 1.351 Å, 69.6 deg, rel. 12; 1.331 Å, 70.8 deg, rel. 23; 1.281 Å, 74.0 deg, rel. 10

Cell and atoms:
Unit cell a=4.4069 b=4.4069 c=17.9943 alpha=90.00 beta=90.00 gamma=90.00
Positions (direct):
Mg: 0.0000 0.0000 0.0000
Mg: 0.0000 0.0000 0.2484
Mg: 0.0000 0.0000 0.7516
Mg: 0.0000 0.5000 0.1205
Mg: 0.0000 0.5000 0.3795
Mg: 0.0000 0.5000 0.6205
Mg: 0.0000 0.5000 0.8795
Mg: 0.5000 0.0000 0.1205
Mg: 0.5000 0.0000 0.3795
Mg: 0.5000 0.0000 0.6205
Mg: 0.5000 0.0000 0.8795
Mg: 0.5000 0.5000 0.2516
Mg: 0.5000 0.5000 0.5000
Mg: 0.5000 0.5000 0.7484
Ga: 0.0000 0.0000 0.5000
Ga: 0.5000 0.5000 0.0000

---

Record 12
# MgGa2
Computed powder XRD pattern, Cu Kα, 1.54184 Å. Input: DFT lattice parameters and positions (PBE).
Intensities are scaled so that the largest is 100.

The 12 most intense peaks (2θ = 10–90°), low angle first:
4.500 Å, 19.7 deg, rel. 26; 3.570 Å, 24.9 deg, rel. 15; 2.508 Å, 35.8 deg, rel. 100; 2.375 Å, 37.9 deg, rel. 84; 2.214 Å, 40.8 deg, rel. 68; 2.191 Å, 41.2 deg, rel. 16; 1.945 Å, 46.7 deg, rel. 23; 1.641 Å, 56.1 deg, rel. 13; 1.461 Å, 63.7 deg, rel. 35; 1.350 Å, 69.6 deg, rel. 26; 1.287 Å, 73.6 deg, rel. 21; 1.254 Å, 75.9 deg, rel. 10

Cell and atoms:
Unit cell a=3.2814 b=3.8893 c=8.9993 alpha=90.00 beta=90.00 gamma=90.00
Positions (direct):
Mg: 0.0000 0.0000 0.0000
Mg: 0.5000 0.5000 0.5000
Ga: 0.0000 0.0000 0.3262
Ga: 0.0000 0.0000 0.6738
Ga: 0.5000 0.5000 0.1738
Ga: 0.5000 0.5000 0.8262

---

Record 13
# Mg13Ga2
Computed powder XRD pattern, Cu Kα, 1.54184 Å. Input: DFT lattice parameters and positions (PBE).
Intensities are scaled so that the largest is 100.

The 12 most intense peaks (2θ = 10–90°), low angle first:
7.625 Å, 11.6 deg, rel. 43; 6.459 Å, 13.7 deg, rel. 29; 4.832 Å, 18.4 deg, rel. 34; 4.649 Å, 19.1 deg, rel. 37; 3.015 Å, 29.6 deg, rel. 37; 2.663 Å, 33.7 deg, rel. 67; 2.567 Å, 35.0 deg, rel. 52; 2.556 Å, 35.1 deg, rel. 61; 2.552 Å, 35.2 deg, rel. 57; 2.489 Å, 36.1 deg, rel. 43; 2.392 Å, 37.6 deg, rel. 100; 2.362 Å, 38.1 deg, rel. 68

Cell and atoms:
Unit cell a=5.9877 b=7.4414 c=8.2904 alpha=66.89 beta=86.82 gamma=80.64
Positions (direct):
Mg: 0.0000 0.0000 0.0000
Mg: 0.0524 0.5040 0.6902
Mg: 0.2332 0.9864 0.6072
Mg: 0.2540 0.1781 0.1965
Mg: 0.2589 0.6165 0.9663
Mg: 0.4472 0.3897 0.3922
Mg: 0.4491 0.1876 0.8434
Mg: 0.5509 0.8124 0.1566
Mg: 0.5528 0.6103 0.6078
Mg: 0.7411 0.3835 0.0337
Mg: 0.7460 0.8219 0.8035
Mg: 0.7668 0.0136 0.3928
Mg: 0.9476 0.4960 0.3098
Ga: 0.1734 0.7770 0.3647
Ga: 0.8266 0.2230 0.6353

---

Record 14
# MgGa6
Computed powder XRD pattern, Cu Kα, 1.54184 Å. Input: DFT lattice parameters and positions (PBE).
Intensities are scaled so that the largest is 100.

The 12 most intense peaks (2θ = 10–90°), low angle first:
7.500 Å, 11.8 deg, rel. 35; 3.708 Å, 24.0 deg, rel. 38; 2.799 Å, 32.0 deg, rel. 78; 2.539 Å, 35.4 deg, rel. 100; 2.190 Å, 41.2 deg, rel. 97; 2.157 Å, 41.9 deg, rel. 59; 2.133 Å, 42.4 deg, rel. 30; 1.925 Å, 47.2 deg, rel. 47; 1.908 Å, 47.7 deg, rel. 50; 1.363 Å, 68.9 deg, rel. 20; 1.337 Å, 70.4 deg, rel. 22; 1.236 Å, 77.2 deg, rel. 31

Cell and atoms:
Unit cell a=6.0329 b=6.0329 c=7.4997 alpha=90.00 beta=90.00 gamma=90.00
Positions (direct):
Mg: 0.2500 0.7500 0.0000
Mg: 0.7500 0.2500 0.0000
Ga: 0.0831 0.5831 0.3546
Ga: 0.0831 0.9169 0.6454
Ga: 0.2500 0.2500 0.1661
Ga: 0.2500 0.2500 0.8339
Ga: 0.4169 0.5831 0.6454
Ga: 0.4169 0.9169 0.3546
Ga: 0.5831 0.0831 0.6454
Ga: 0.5831 0.4169 0.3546
Ga: 0.7500 0.7500 0.1661
Ga: 0.7500 0.7500 0.8339
Ga: 0.9169 0.0831 0.3546
Ga: 0.9169 0.4169 0.6454